This entry pairs a crystal structure of NaZn3S3 with its simulated XRD peak list. Radiation: Cu Kα. Structure: the GGA-PBE geometry in Alexandria.
Neutral-atom scattering factors, no anomalous dispersion.

Most intense lines, 5° ≤ 2θ ≤ 70°, in order of rising 2θ:
- hkl 0 0 3, 2θ 12.91, 6.860 Å, intensity 96
- hkl 1 1 0, 2θ 24.91, 3.574 Å, intensity 75
- hkl 1 1 3, 2θ 28.15, 3.170 Å, intensity 82
- hkl 2 -1 6, 2θ 36.30, 2.475 Å, intensity 100
- hkl 0 0 9, 2θ 39.41, 2.286 Å, intensity 35
- hkl 3 0 0, 2θ 43.87, 2.064 Å, intensity 98
- hkl 2 -1 9, 2θ 47.19, 1.926 Å, intensity 40
- hkl 3 0 9, 2θ 60.43, 1.532 Å, intensity 49

Crystal structure
```
data_NaZn3S3
_cell_length_a 7.1484
_cell_length_b 7.1484
_cell_length_c 20.5797
_cell_angle_alpha 90.00
_cell_angle_beta 90.00
_cell_angle_gamma 120.00
_space_group_name_H-M_alt 'R -3'
_space_group_IT_number 148
_space_group_name_Hall '-R 3'
loop_
_atom_site_label
_atom_site_fract_x
_atom_site_fract_y
_atom_site_fract_z
Na1 0.0000 0.0000 0.1670
Zn1 0.0057 0.6828 0.6170
S1 0.0048 0.6585 0.4071
```